This entry pairs a crystal structure of TbHo5Tm2Sc with its simulated X-ray diffraction stick pattern. Radiation: Cu Kα (λ = 1.5418 Å). Structure: a DFT-relaxed cell (PBE, Alexandria).
Intensities are scaled so that the largest is 100.

Cell and atoms:
```
18
Lattice="2.746 -9.838 0.000 2.746 9.838 0.000 0.000 0.000 10.305" Properties=species:S:1:pos:R:3 pbc="T T T"
Tb 2.746 8.075 5.153
Tb 2.746 -8.075 0.000
Ho 2.746 9.469 8.087
Ho 2.746 7.447 0.686
Ho 2.746 5.901 7.737
Ho 2.746 5.437 3.762
Ho 2.746 0.345 0.654
Ho 2.746 -0.345 5.807
Ho 2.746 -5.437 8.915
Ho 2.746 -5.901 2.584
Ho 2.746 -7.447 5.838
Ho 2.746 -9.469 2.934
Tm 2.746 2.234 8.067
Tm 2.746 2.192 3.682
Tm 2.746 -2.192 8.835
Tm 2.746 -2.234 2.914
Sc 2.746 3.846 0.617
Sc 2.746 -3.846 5.770
```

Most intense lines, 10 to 90 degrees two-theta, by angle:
27.4°, 3.261 Å, I 21
28.6°, 3.125 Å, I 15
31.0°, 2.881 Å, I 36
32.6°, 2.746 Å, I 43
33.0°, 2.718 Å, I 100
34.8°, 2.576 Å, I 12
52.4°, 1.745 Å, I 11
58.4°, 1.580 Å, I 21
60.8°, 1.524 Å, I 11
63.1°, 1.473 Å, I 13

This entry pairs a crystal structure of Li3DyCd9 with its simulated X-ray diffraction stick pattern. Radiation: Cu Kα (λ = 1.5418 Å). Structure: a DFT-relaxed cell (PBE, Alexandria).
Intensities are scaled so that the largest is 100.

Cell and atoms:
```
13
Lattice="2.699 -7.050 0.000 2.699 7.050 0.000 -2.685 0.000 7.053" Properties=species:S:1:pos:R:3 pbc="T T T"
Li 0.000 0.000 0.000
Li 0.007 3.525 3.527
Li 0.007 -3.525 3.527
Dy -1.343 0.000 3.527
Cd 1.376 4.562 1.137
Cd 1.312 1.532 2.065
Cd 1.335 4.562 5.916
Cd 1.312 -1.532 2.065
Cd 2.699 0.000 0.000
Cd 1.400 1.532 4.989
Cd 1.376 -4.562 1.137
Cd 1.400 -1.532 4.989
Cd 1.335 -4.562 5.916
```

Most intense lines, 10 to 90 degrees two-theta, by angle:
31.6°, 2.831 Å, I 49
33.2°, 2.699 Å, I 33
36.0°, 2.493 Å, I 29
36.5°, 2.461 Å, I 100
37.9°, 2.373 Å, I 22
40.9°, 2.207 Å, I 19
42.2°, 2.143 Å, I 22
61.5°, 1.509 Å, I 17
65.1°, 1.433 Å, I 23
66.0°, 1.415 Å, I 16

Q: What is the formula in the first record?
A: TbHo5Tm2Sc